(1)
Ba4Sr3: simulated powder diffraction line list (a wavelength of 1.5418 Å), based on the GGA-PBE geometry in Alexandria.
Peak positions follow from Bragg's law for the DFT cell and can differ from measured ones.

Structural model:
a b c (Å): 7.9302 7.9302 7.9970
angles (deg): 90.00 90.00 120.00
Atoms (fractional coordinates):
Ba  0.0000  0.0000  0.2441
Ba  0.0000  0.0000  0.7559
Ba  0.3333  0.6667  0.0000
Ba  0.6667  0.3333  0.0000
Sr  0.0000  0.5000  0.5000
Sr  0.5000  0.0000  0.5000
Sr  0.5000  0.5000  0.5000

Principal peaks in the range 10 to 80 degrees two-theta, sorted by position:
Position (°2θ)  d [Å]  Rel. int.
22.42  3.965  58
25.07  3.552  60
25.78  3.456  100
25.95  3.434  33
28.28  3.155  51
41.47  2.177  56
42.95  2.106  20
45.77  1.983  28
53.28  1.719  31
66.41  1.408  18

(2)
Ba5Sr2: simulated powder diffraction line list (a wavelength of 1.5418 Å), based on the GGA-PBE geometry in Alexandria.
Peak positions follow from Bragg's law for the DFT cell and can differ from measured ones.

Structural model:
a b c (Å): 7.6857 7.6857 9.7982
angles (deg): 96.90 96.90 48.39
Atoms (fractional coordinates):
Ba  0.0000  0.0000  0.0000
Ba  0.1419  0.1419  0.4287
Ba  0.2861  0.2861  0.8569
Ba  0.7139  0.7139  0.1431
Ba  0.8581  0.8581  0.5713
Sr  0.4283  0.4283  0.2873
Sr  0.5717  0.5717  0.7127

Principal peaks in the range 10 to 80 degrees two-theta, sorted by position:
Position (°2θ)  d [Å]  Rel. int.
24.64  3.613  100
28.36  3.146  35
28.85  3.095  17
40.55  2.225  13
40.90  2.206  26
48.00  1.895  24
48.08  1.892  8
48.64  1.872  16
50.55  1.806  7
65.10  1.433  10

(3)
BaSr2: simulated powder diffraction line list (a wavelength of 1.5418 Å), based on the GGA-PBE geometry in Alexandria.
Peak positions follow from Bragg's law for the DFT cell and can differ from measured ones.

Structural model:
a b c (Å): 10.3348 10.3348 4.1484
angles (deg): 90.00 90.00 156.50
Atoms (fractional coordinates):
Ba  0.0000  0.0000  0.0000
Sr  0.3386  0.6614  0.5000
Sr  0.6614  0.3386  0.5000

Principal peaks in the range 10 to 80 degrees two-theta, sorted by position:
Position (°2θ)  d [Å]  Rel. int.
23.17  3.838  56
24.94  3.571  100
26.43  3.373  43
27.81  3.208  46
30.58  2.923  67
37.70  2.386  27
43.81  2.066  29
45.75  1.983  18
50.91  1.794  28
68.11  1.377  18

(4)
BaSr: simulated powder diffraction line list (a wavelength of 1.5418 Å), based on the GGA-PBE geometry in Alexandria.
Peak positions follow from Bragg's law for the DFT cell and can differ from measured ones.

Structural model:
a b c (Å): 6.9097 6.9097 6.9097
angles (deg): 60.00 60.00 60.00
Atoms (fractional coordinates):
Ba  0.1250  0.1250  0.1250
Ba  0.8750  0.8750  0.8750
Sr  0.3750  0.3750  0.3750
Sr  0.6250  0.6250  0.6250

Principal peaks in the range 10 to 80 degrees two-theta, sorted by position:
Position (°2θ)  d [Å]  Rel. int.
15.71  5.642  4
25.79  3.455  100
30.34  2.946  3
36.79  2.443  20
45.47  1.995  43
53.01  1.727  13
59.86  1.545  19
66.27  1.410  5
72.37  1.306  22
78.27  1.221  2